Entry 1:
Diffraction record for Na2TlSbSe4. The powder XRD pattern is simulated, not measured: it uses DFT lattice parameters and positions (GGA-PBE) and Cu Kα.
Lines closer than 0.1° are merged.

Structure:
Unit cell a=5.855 b=5.855 c=12.012 alpha=90.00 beta=90.00 gamma=90.00
Space group I-4m2 (No. 119)
Unique sites:
Na  0.000  0.000  0.000 [2 per cell]
Na  0.000  0.500  0.250 [2 per cell]
Tl  0.000  0.500  0.750 [2 per cell]
Sb  0.000  0.000  0.500 [2 per cell]
Se  0.000  0.000  0.263 [4 per cell]
Se  0.000  0.500  0.510 [4 per cell]

The 10 most intense peaks (2θ from 15° to 90°), low angle first:
16.8 deg, I = 80
29.8 deg, I = 51
30.5 deg, I = 100
35.1 deg, I = 27
43.2 deg, I = 74
43.7 deg, I = 37
53.8 deg, I = 38
71.7 deg, I = 16
72.2 deg, I = 16
79.9 deg, I = 24

Entry 2:
Diffraction record for NaTl2SbSe4. The powder XRD pattern is simulated, not measured: it uses DFT lattice parameters and positions (GGA-PBE) and Cu Kα.
Lines closer than 0.1° are merged.

Structure:
Unit cell a=8.929 b=9.733 c=6.533 alpha=90.00 beta=90.00 gamma=90.00
Space group Pmn2_1 (No. 31)
Unique sites:
Na  0.000  0.105  0.000 [2 per cell]
Tl  0.202  0.341  0.511 [4 per cell]
Sb  0.000  0.817  0.422 [2 per cell]
Se  0.000  0.067  0.518 [2 per cell]
Se  0.000  0.806  0.033 [2 per cell]
Se  0.236  0.691  0.527 [4 per cell]

The 10 most intense peaks (2θ from 15° to 90°), low angle first:
16.3 deg, I = 39
16.8 deg, I = 50
18.2 deg, I = 58
21.9 deg, I = 90
27.3 deg, I = 100
33.0 deg, I = 36
34.2 deg, I = 72
35.3 deg, I = 52
44.3 deg, I = 56
53.2 deg, I = 35

Entry 3:
Diffraction record for Na4Y3SbSe8. The powder XRD pattern is simulated, not measured: it uses DFT lattice parameters and positions (GGA-PBE) and Cu Kα.
Lines closer than 0.1° are merged.

Structure:
Unit cell a=8.3203 b=8.3203 c=21.0134 alpha=90.00 beta=90.00 gamma=120.00
Space group R-3m (No. 166, hexagonal axes)
Unique sites:
Na  0.0000  0.0000  0.0000 [3 per cell]
Na  0.0000  0.5000  0.0000 [9 per cell]
Y  0.0000  0.5000  0.5000 [9 per cell]
Sb  0.0000  0.0000  0.5000 [3 per cell]
Se  0.0000  0.0000  0.2431 [6 per cell]
Se  0.0005  0.5003  0.7567 [18 per cell]

The 10 most intense peaks (2θ from 15° to 90°), low angle first:
25.1 deg, I = 9
30.1 deg, I = 100
39.1 deg, I = 9
42.6 deg, I = 36
43.5 deg, I = 36
53.8 deg, I = 19
62.5 deg, I = 11
70.3 deg, I = 14
71.6 deg, I = 16
79.2 deg, I = 11

Entry 4:
Diffraction record for Na2SiSb2. The powder XRD pattern is simulated, not measured: it uses DFT lattice parameters and positions (GGA-PBE) and Cu Kα.
Lines closer than 0.1° are merged.

Structure:
Unit cell a=6.665 b=12.996 c=6.995 alpha=90.00 beta=90.00 gamma=90.00
Space group Ibam (No. 72)
Unique sites:
Na  0.167  0.132  0.000 [8 per cell]
Si  0.000  0.500  0.250 [4 per cell]
Sb  0.183  0.382  0.000 [8 per cell]

The 10 most intense peaks (2θ from 15° to 90°), low angle first:
23.0 deg, I = 100
25.5 deg, I = 42
27.5 deg, I = 34
30.5 deg, I = 36
36.4 deg, I = 27
37.3 deg, I = 21
37.8 deg, I = 43
38.7 deg, I = 18
43.4 deg, I = 19
45.9 deg, I = 19

Entry 5:
Diffraction record for Na2SiSb4. The powder XRD pattern is simulated, not measured: it uses DFT lattice parameters and positions (GGA-PBE) and Cu Kα.
Lines closer than 0.1° are merged.

Structure:
Unit cell a=5.300 b=5.300 c=16.064 alpha=90.00 beta=90.00 gamma=90.00
Space group I4/mmm (No. 139)
Unique sites:
Na  0.000  0.000  0.139 [4 per cell]
Si  0.000  0.000  0.500 [2 per cell]
Sb  0.000  0.000  0.340 [4 per cell]
Sb  0.000  0.500  0.000 [4 per cell]

The 10 most intense peaks (2θ from 15° to 90°), low angle first:
17.6 deg, I = 41
23.6 deg, I = 34
26.2 deg, I = 100
32.7 deg, I = 99
33.5 deg, I = 35
33.8 deg, I = 77
48.3 deg, I = 49
48.6 deg, I = 27
59.8 deg, I = 32
60.3 deg, I = 25

Entry 6:
Diffraction record for Na8SnSb4. The powder XRD pattern is simulated, not measured: it uses DFT lattice parameters and positions (GGA-PBE) and Cu Kα.
Lines closer than 0.1° are merged.

Structure:
Unit cell a=14.923 b=14.923 c=14.923 alpha=90.00 beta=90.00 gamma=90.00
Space group Fd-3m (No. 227, origin choice 2)
Unique sites:
Na  0.000  0.000  0.000 [16 per cell]
Na  0.105  0.375  0.875 [48 per cell]
Sn  0.125  0.125  0.125 [8 per cell]
Sb  0.013  0.013  0.237 [32 per cell]

The 10 most intense peaks (2θ from 15° to 90°), low angle first:
20.6 deg, I = 75
23.9 deg, I = 14
31.1 deg, I = 17
34.0 deg, I = 100
35.6 deg, I = 16
40.1 deg, I = 31
46.8 deg, I = 21
48.8 deg, I = 15
60.8 deg, I = 25
64.6 deg, I = 15

Entry 7:
Diffraction record for Na6SnSb4. The powder XRD pattern is simulated, not measured: it uses DFT lattice parameters and positions (GGA-PBE) and Cu Kα.
Lines closer than 0.1° are merged.

Structure:
Unit cell a=10.6836 b=10.6836 c=6.9069 alpha=90.00 beta=90.00 gamma=120.00
Space group P6_3mc (No. 186)
Unique sites:
Na  0.0193  0.5096  0.0000 [6 per cell]
Na  0.1567  0.3134  0.2578 [6 per cell]
Sn  0.3333  0.6667  0.6475 [2 per cell]
Sb  0.1846  0.3692  0.7578 [6 per cell]
Sb  0.3333  0.6667  0.2310 [2 per cell]

The 10 most intense peaks (2θ from 15° to 90°), low angle first:
16.0 deg, I = 26
19.2 deg, I = 56
23.1 deg, I = 74
25.8 deg, I = 37
32.4 deg, I = 60
33.6 deg, I = 100
42.8 deg, I = 47
43.9 deg, I = 31
47.3 deg, I = 21
64.3 deg, I = 22

Entry 8:
Diffraction record for Na3SnSb. The powder XRD pattern is simulated, not measured: it uses DFT lattice parameters and positions (GGA-PBE) and Cu Kα.
Lines closer than 0.1° are merged.

Structure:
Unit cell a=10.554 b=9.741 c=6.271 alpha=90.00 beta=90.00 gamma=90.00
Space group Ima2 (No. 46)
Unique sites:
Na  0.024  0.248  0.000 [8 per cell]
Na  0.250  0.026  0.252 [4 per cell]
Sn  0.250  0.702  0.249 [4 per cell]
Sb  0.250  0.093  0.751 [4 per cell]

The 10 most intense peaks (2θ from 15° to 90°), low angle first:
16.8 deg, I = 100
23.9 deg, I = 30
28.5 deg, I = 18
28.8 deg, I = 29
33.2 deg, I = 51
34.0 deg, I = 23
37.7 deg, I = 19
40.7 deg, I = 20
40.9 deg, I = 26
47.7 deg, I = 18

Entry 9:
Diffraction record for Na2Sn3Sb2. The powder XRD pattern is simulated, not measured: it uses DFT lattice parameters and positions (GGA-PBE) and Cu Kα.
Lines closer than 0.1° are merged.

Structure:
Unit cell a=11.008 b=5.153 c=7.911 alpha=90.00 beta=107.79 gamma=90.00
Space group C2/m (No. 12)
Unique sites:
Na  0.156  0.000  0.314 [4 per cell]
Sn  0.000  0.500  0.500 [2 per cell]
Sn  0.111  0.500  0.924 [4 per cell]
Sb  0.152  0.000  0.739 [4 per cell]

The 10 most intense peaks (2θ from 15° to 90°), low angle first:
17.4 deg, I = 100
28.5 deg, I = 32
30.2 deg, I = 36
30.9 deg, I = 29
32.6 deg, I = 91
33.3 deg, I = 29
34.0 deg, I = 43
34.8 deg, I = 58
38.4 deg, I = 48
44.8 deg, I = 31

Entry 10:
Diffraction record for NaSn4Sb2. The powder XRD pattern is simulated, not measured: it uses DFT lattice parameters and positions (GGA-PBE) and Cu Kα.
Lines closer than 0.1° are merged.

Structure:
Unit cell a=5.190 b=5.291 c=8.367 alpha=102.22 beta=98.60 gamma=114.58
Space group P-1 (No. 2)
Unique sites:
Na  0.000  0.000  0.000 [1 per cell]
Sn  0.161  0.290  0.451 [2 per cell]
Sn  0.427  0.841  0.270 [2 per cell]
Sb  0.267  0.568  0.834 [2 per cell]

The 10 most intense peaks (2θ from 15° to 90°), low angle first:
31.0 deg, I = 100
31.6 deg, I = 100
33.8 deg, I = 76
33.8 deg, I = 74
34.4 deg, I = 77
35.0 deg, I = 74
44.4 deg, I = 38
45.2 deg, I = 36
57.7 deg, I = 34
57.7 deg, I = 34

Entry 11:
Diffraction record for Na2Sr3Sb3. The powder XRD pattern is simulated, not measured: it uses DFT lattice parameters and positions (GGA-PBE) and Cu Kα.
Lines closer than 0.1° are merged.

Structure:
Unit cell a=9.8195 b=9.8195 c=6.7999 alpha=90.00 beta=90.00 gamma=120.00
Space group P6_3/mcm (No. 193)
Unique sites:
Na  0.3333  0.6667  0.0000 [4 per cell]
Sr  0.0000  0.2997  0.2500 [6 per cell]
Sb  0.0000  0.3636  0.7500 [6 per cell]

The 10 most intense peaks (2θ from 15° to 90°), low angle first:
18.1 deg, I = 69
26.2 deg, I = 49
30.8 deg, I = 37
31.6 deg, I = 100
32.0 deg, I = 65
41.5 deg, I = 66
45.6 deg, I = 19
56.2 deg, I = 18
59.1 deg, I = 17
63.8 deg, I = 25

Entry 12:
Diffraction record for Na3SrSb3. The powder XRD pattern is simulated, not measured: it uses DFT lattice parameters and positions (GGA-PBE) and Cu Kα.
Lines closer than 0.1° are merged.

Structure:
Unit cell a=8.181 b=8.181 c=8.181 alpha=90.00 beta=90.00 gamma=90.00
Space group Pm-3n (No. 223)
Unique sites:
Na  0.000  0.250  0.500 [6 per cell]
Sr  0.000  0.000  0.000 [2 per cell]
Sb  0.000  0.500  0.250 [6 per cell]

The 10 most intense peaks (2θ from 15° to 90°), low angle first:
21.7 deg, I = 42
24.3 deg, I = 85
26.7 deg, I = 100
38.1 deg, I = 28
39.7 deg, I = 23
41.3 deg, I = 61
44.3 deg, I = 31
51.2 deg, I = 22
61.0 deg, I = 20
64.4 deg, I = 20